CaSe2O6: theoretical X-ray diffraction stick pattern (a wavelength of 1.5418 Å), based on DFT lattice parameters and positions (PBE).
Intensities are scaled so that the largest is 100.

Crystal structure
```
CaSe2O6
1.0
6.989 0.000 0.000
0.000 12.059 0.000
-5.342 0.000 7.105
Ca Se O
4 8 24
direct
0.185 0.087 0.238 Ca
0.185 0.413 0.738 Ca
0.815 0.587 0.262 Ca
0.815 0.913 0.762 Ca
0.221 0.134 0.842 Se
0.221 0.366 0.342 Se
0.349 0.682 0.744 Se
0.349 0.818 0.244 Se
0.651 0.182 0.756 Se
0.651 0.318 0.256 Se
0.779 0.634 0.658 Se
0.779 0.866 0.158 Se
0.014 0.235 0.729 O
0.014 0.265 0.229 O
0.119 0.013 0.738 O
0.119 0.487 0.238 O
0.151 0.587 0.588 O
0.151 0.913 0.088 O
0.346 0.132 0.071 O
0.346 0.368 0.571 O
0.450 0.195 0.843 O
0.450 0.305 0.343 O
0.489 0.103 0.563 O
0.489 0.397 0.063 O
0.511 0.603 0.937 O
0.511 0.897 0.437 O
0.550 0.695 0.657 O
0.550 0.805 0.157 O
0.654 0.632 0.429 O
0.654 0.868 0.929 O
0.849 0.087 0.912 O
0.849 0.413 0.412 O
0.881 0.513 0.762 O
0.881 0.987 0.262 O
0.986 0.735 0.771 O
0.986 0.765 0.271 O
```

Main lines, low angle first (2θ from 10° to 90°):
14.47 deg, d 6.121, intensity 33, hkl 0 1 1; 19.31 deg, d 4.597, intensity 100, hkl 0 2 1; 25.07 deg, d 3.552, intensity 57, hkl 0 0 2; 26.16 deg, d 3.407, intensity 18, hkl 0 1 2; 27.22 deg, d 3.276, intensity 83, hkl 2 1 -2; 27.36 deg, d 3.260, intensity 53, hkl 1 3 0; 29.61 deg, d 3.017, intensity 40, hkl 0 4 0; 32.26 deg, d 2.775, intensity 38, hkl 0 4 1; 34.66 deg, d 2.588, intensity 22, hkl 2 3 -1; 41.35 deg, d 2.183, intensity 15, hkl 2 1 -4